# W7O6F30
Simulated X-ray diffraction stick pattern, a wavelength of 1.5418 Å. Input: a structure optimized by DFT (GGA+U).

Structural model:
a = 10.9964 Å, b = 10.9964 Å, c = 10.9964 Å
α = 50.12°, β = 50.12°, γ = 50.12°
Fractional coordinates of all 43 atoms:
W1 0.0000 0.0000 0.0000
W2 0.0885 0.3965 0.7583
W3 0.2417 0.9115 0.6036
W4 0.3965 0.7583 0.0885
W5 0.6036 0.2417 0.9115
W6 0.7583 0.0885 0.3965
W7 0.9115 0.6036 0.2417
O1 0.0026 0.7748 0.1063
O2 0.1063 0.0026 0.7748
O3 0.2252 0.8937 0.9974
O4 0.7748 0.1063 0.0026
O5 0.8937 0.9974 0.2252
O6 0.9974 0.2252 0.8937
F1 0.0484 0.4592 0.3693
F2 0.0875 0.4891 0.0900
F3 0.0900 0.0875 0.4891
F4 0.1108 0.7784 0.7439
F5 0.1934 0.5525 0.6204
F6 0.2216 0.2561 0.8892
F7 0.2561 0.8892 0.2216
F8 0.2642 0.2845 0.6036
F9 0.2845 0.6036 0.2642
F10 0.3693 0.0484 0.4592
F11 0.3796 0.8066 0.4475
F12 0.3964 0.7358 0.7155
F13 0.4475 0.3796 0.8066
F14 0.4592 0.3693 0.0484
F15 0.4891 0.0900 0.0875
F16 0.5109 0.9100 0.9125
F17 0.5408 0.6307 0.9516
F18 0.5525 0.6204 0.1934
F19 0.6036 0.2642 0.2845
F20 0.6204 0.1934 0.5525
F21 0.6307 0.9516 0.5408
F22 0.7155 0.3964 0.7358
F23 0.7358 0.7155 0.3964
F24 0.7439 0.1108 0.7784
F25 0.7784 0.7439 0.1108
F26 0.8066 0.4475 0.3796
F27 0.8892 0.2216 0.2561
F28 0.9100 0.9125 0.5109
F29 0.9125 0.5109 0.9100
F30 0.9516 0.5408 0.6307

Most intense lines, 10 to 90 degrees two-theta, low angle first:
2θ (°), intensity
18.50, 22
21.20, 100
26.68, 29
33.31, 16
34.01, 22
38.37, 18
51.02, 21
52.87, 12